No. 1
Simulated XRD peak list
Compound: CaPdS
Radiation: CuKα
Structure: the GGA-PBE geometry in Alexandria
No peak broadening, texture or thermal motion is included.

Largest 12 diffraction maxima, in order of falling intensity, 10° ≤ 2θ ≤ 80°:
- 2θ = 32.3°, rel. 100.0
- 2θ = 23.6°, rel. 82.5
- 2θ = 36.9°, rel. 64.6
- 2θ = 27.2°, rel. 56.0
- 2θ = 40.7°, rel. 54.4
- 2θ = 37.0°, rel. 51.9
- 2θ = 33.1°, rel. 51.0
- 2θ = 38.7°, rel. 45.6
- 2θ = 21.8°, rel. 40.6
- 2θ = 17.3°, rel. 36.8
- 2θ = 46.9°, rel. 33.6
- 2θ = 76.6°, rel. 29.4

```
CaPdS
1.0
4.433 0.000 0.000
0.000 10.266 0.000
-0.013 0.000 5.543
Ca Pd S
4 4 4
Cartesian
0.000 1.468 0.000
-0.007 8.798 2.772
2.210 3.665 2.772
2.216 6.601 0.000
0.004 4.403 0.220
-0.003 5.863 2.992
2.213 0.730 2.992
2.220 9.536 0.220
4.426 1.473 2.777
4.433 8.793 0.005
2.216 3.660 0.005
2.210 6.606 2.777
```

No. 2
Simulated XRD peak list
Compound: Dy6Er2TmSc
Radiation: CuKα
Structure: the GGA-PBE geometry in Alexandria
No peak broadening, texture or thermal motion is included.

Largest 12 diffraction maxima, in order of falling intensity, 10° ≤ 2θ ≤ 80°:
- 2θ = 32.0°, rel. 100.0
- 2θ = 31.0°, rel. 57.1
- 2θ = 29.2°, rel. 42.0
- 2θ = 31.3°, rel. 38.3
- 2θ = 34.6°, rel. 36.2
- 2θ = 32.2°, rel. 33.6
- 2θ = 33.0°, rel. 22.7
- 2θ = 28.6°, rel. 19.2
- 2θ = 61.9°, rel. 14.8
- 2θ = 39.2°, rel. 14.8
- 2θ = 34.2°, rel. 13.9
- 2θ = 60.4°, rel. 12.8

```
Dy6Er2TmSc
1.0
4.492 -7.375 0.000
4.492 7.375 0.000
-1.240 0.000 9.298
Dy Er Tm Sc
12 4 2 2
Cartesian
2.336 4.117 1.758
3.260 4.643 5.158
3.864 4.643 8.788
3.112 1.572 3.560
6.028 4.117 2.891
5.253 1.572 1.089
2.492 -1.572 8.209
1.716 -4.117 6.406
4.633 -1.572 5.738
3.880 -4.643 0.509
4.484 -4.643 4.140
5.409 -4.117 7.540
2.200 0.752 0.432
1.580 -0.752 5.081
6.165 0.752 4.217
5.545 -0.752 8.865
4.182 7.042 2.324
3.562 -7.042 6.973
3.562 1.284 6.973
4.182 -1.284 2.324
```